Ba2Cr2CuF14: simulated X-ray diffraction stick pattern (Cu Kα), based on the GGA+U geometry in Alexandria.

Structure:
Lattice parameters (Å, degrees): 14.320 5.314 15.308 90.00 90.59 90.00
Space group C2/c (No. 15)
Inequivalent atoms, fractional coordinates:
Ba  0.172  0.067  0.129
Cr  0.129  0.024  0.377
Cu  0.000  0.500  0.000
F  0.011  0.071  0.847
F  0.062  0.444  0.105
F  0.082  0.199  0.479
F  0.130  0.293  0.304
F  0.146  0.254  0.951
F  0.183  0.169  0.786
F  0.249  0.111  0.413

Main lines, low angle first (2θ from 10° to 90°):
| 2theta | Rel. int. | h k l |
| --- | --- | --- |
| 16.9 | 19 | 2 0 -2 |
| 17.8 | 28 | 1 1 0 |
| 21.3 | 29 | 1 1 2 |
| 23.2 | 40 | 0 0 4 |
| 25.1 | 100 | 3 1 0 |
| 27.6 | 32 | 4 0 2 |
| 29.4 | 40 | 1 1 -4 |
| 34.3 | 18 | 3 1 -4 |
| 37.5 | 37 | 2 0 6 |
| 41.4 | 18 | 0 2 4 |